Starting from a GGA-PBE-relaxed structure, the X-ray powder pattern of Cs2GaBr6Cl was simulated for Cu Kα.

Structural model:
Cell: 8.132 8.132 8.132 Å, 123.45 123.45 84.11°
Fractional coordinates of all 10 atoms:
Cs1 0.250 0.750 0.500
Cs2 0.750 0.250 0.500
Ga1 0.000 0.000 0.000
Br1 0.210 0.210 0.000
Br2 0.239 0.239 0.478
Br3 0.239 0.761 0.000
Br4 0.761 0.239 0.000
Br5 0.761 0.761 0.522
Br6 0.790 0.790 0.000
Cl1 0.500 0.500 0.000

Top 10 peaks for 2θ from 10° to 90°, in order of falling intensity:
| Position (°2θ) | I/Imax |
| --- | --- |
| 27.5 | 1000 |
| 32.9 | 592 |
| 44.8 | 405 |
| 29.6 | 332 |
| 55.5 | 263 |
| 22.0 | 234 |
| 47.2 | 206 |
| 56.7 | 196 |
| 13.6 | 130 |
| 86.1 | 117 |



Starting from a GGA-PBE-relaxed structure, the X-ray powder pattern of Cs2GeBrCl5 was simulated for Cu Kα.

Structural model:
Cell: 7.523 7.523 7.523 Å, 119.26 119.26 91.28°
Fractional coordinates of all 9 atoms:
Cs1 0.000 0.500 0.500
Cs2 0.500 0.000 0.500
Ge1 0.248 0.248 0.000
Br1 0.489 0.489 0.000
Cl1 0.027 0.027 0.000
Cl2 0.032 0.032 0.564
Cl3 0.032 0.467 0.000
Cl4 0.467 0.032 0.000
Cl5 0.467 0.467 0.436

Top 10 peaks for 2θ from 10° to 90°, in order of falling intensity:
| Position (°2θ) | I/Imax |
| --- | --- |
| 29.0 | 1000 |
| 33.3 | 599 |
| 14.4 | 459 |
| 23.4 | 452 |
| 23.7 | 440 |
| 48.4 | 380 |
| 34.1 | 291 |
| 56.9 | 224 |
| 47.8 | 190 |
| 41.8 | 189 |



Starting from a GGA-PBE-relaxed structure, the X-ray powder pattern of Cs3Ge2Br4Cl3 was simulated for Cu Kα.

Structural model:
Cell: 14.954 14.954 5.656 Å, 100.90 100.90 20.69°
Fractional coordinates of all 12 atoms:
Cs1 0.000 0.000 0.000
Cs2 0.639 0.639 0.639
Cs3 0.820 0.820 0.827
Ge1 0.225 0.225 0.235
Ge2 0.414 0.414 0.423
Br1 0.128 0.128 0.128
Br2 0.227 0.227 0.700
Br3 0.412 0.412 0.885
Br4 0.511 0.511 0.511
Cl1 0.320 0.320 0.311
Cl2 0.726 0.726 0.219
Cl3 0.914 0.914 0.407

Top 10 peaks for 2θ from 10° to 90°, in order of falling intensity:
| Position (°2θ) | I/Imax |
| --- | --- |
| 29.5 | 1000 |
| 22.8 | 745 |
| 31.6 | 591 |
| 33.4 | 522 |
| 22.6 | 426 |
| 46.6 | 386 |
| 31.0 | 374 |
| 44.9 | 251 |
| 57.0 | 241 |
| 46.2 | 237 |



Starting from a GGA-PBE-relaxed structure, the X-ray powder pattern of Cs2GeBr5Cl was simulated for Cu Kα.

Structural model:
Cell: 7.810 7.810 7.810 Å, 120.78 120.78 88.66°
Fractional coordinates of all 9 atoms:
Cs1 0.000 0.500 0.500
Cs2 0.500 0.000 0.500
Ge1 0.249 0.249 0.000
Br1 0.018 0.018 0.537
Br2 0.018 0.481 0.000
Br3 0.476 0.476 0.000
Br4 0.481 0.018 0.000
Br5 0.481 0.481 0.463
Cl1 0.039 0.039 0.000

Top 10 peaks for 2θ from 10° to 90°, in order of falling intensity:
| Position (°2θ) | I/Imax |
| --- | --- |
| 28.1 | 1000 |
| 32.8 | 510 |
| 46.5 | 346 |
| 13.9 | 285 |
| 32.0 | 263 |
| 55.7 | 248 |
| 22.8 | 230 |
| 47.1 | 172 |
| 58.1 | 168 |
| 54.7 | 123 |



Starting from a GGA-PBE-relaxed structure, the X-ray powder pattern of Cs2HgBrCl3 was simulated for Cu Kα.

Structural model:
Cell: 5.565 5.658 17.032 Å, 90.00 90.00 90.00°
Fractional coordinates of all 14 atoms:
Cs1 0.000 0.000 0.141
Cs2 0.000 0.000 0.859
Cs3 0.500 0.500 0.359
Cs4 0.500 0.500 0.641
Hg1 0.000 0.000 0.500
Hg2 0.500 0.500 0.000
Br1 0.000 0.500 0.500
Br2 0.500 0.000 0.000
Cl1 0.000 0.000 0.345
Cl2 0.000 0.000 0.655
Cl3 0.000 0.500 0.000
Cl4 0.500 0.000 0.500
Cl5 0.500 0.500 0.155
Cl6 0.500 0.500 0.845

Top 10 peaks for 2θ from 10° to 90°, in order of falling intensity:
| Position (°2θ) | I/Imax |
| --- | --- |
| 22.4 | 1000 |
| 10.4 | 481 |
| 39.1 | 360 |
| 45.7 | 313 |
| 22.2 | 294 |
| 30.8 | 275 |
| 31.6 | 270 |
| 32.2 | 258 |
| 31.5 | 179 |
| 39.4 | 138 |



Starting from a GGA-PBE-relaxed structure, the X-ray powder pattern of Cs2HgBr2Cl2 was simulated for Cu Kα.

Structural model:
Cell: 5.572 5.572 17.532 Å, 90.00 90.00 90.00°
Fractional coordinates of all 14 atoms:
Cs1 0.000 0.000 0.132
Cs2 0.000 0.000 0.868
Cs3 0.500 0.500 0.368
Cs4 0.500 0.500 0.632
Hg1 0.000 0.000 0.500
Hg2 0.500 0.500 0.000
Br1 0.000 0.000 0.344
Br2 0.000 0.000 0.656
Br3 0.500 0.500 0.156
Br4 0.500 0.500 0.844
Cl1 0.000 0.500 0.000
Cl2 0.000 0.500 0.500
Cl3 0.500 0.000 0.000
Cl4 0.500 0.000 0.500

Top 10 peaks for 2θ from 10° to 90°, in order of falling intensity:
| Position (°2θ) | I/Imax |
| --- | --- |
| 22.6 | 1000 |
| 32.1 | 661 |
| 30.1 | 446 |
| 22.0 | 407 |
| 30.6 | 376 |
| 10.1 | 359 |
| 44.6 | 304 |
| 45.0 | 250 |
| 46.1 | 237 |
| 38.3 | 219 |



Starting from a GGA-PBE-relaxed structure, the X-ray powder pattern of Cs2HgBr3Cl was simulated for Cu Kα.

Structural model:
Cell: 5.620 5.700 17.694 Å, 90.00 90.00 90.00°
Fractional coordinates of all 14 atoms:
Cs1 0.000 0.000 0.135
Cs2 0.000 0.000 0.865
Cs3 0.500 0.500 0.365
Cs4 0.500 0.500 0.635
Hg1 0.000 0.000 0.500
Hg2 0.500 0.500 0.000
Br1 0.000 0.000 0.344
Br2 0.000 0.000 0.656
Br3 0.000 0.500 0.500
Br4 0.500 0.000 0.000
Br5 0.500 0.500 0.156
Br6 0.500 0.500 0.844
Cl1 0.000 0.500 0.000
Cl2 0.500 0.000 0.500

Top 10 peaks for 2θ from 10° to 90°, in order of falling intensity:
| Position (°2θ) | I/Imax |
| --- | --- |
| 22.2 | 1000 |
| 31.4 | 457 |
| 31.8 | 439 |
| 21.8 | 358 |
| 45.3 | 325 |
| 44.2 | 322 |
| 30.1 | 306 |
| 29.8 | 294 |
| 30.3 | 292 |
| 55.5 | 259 |



Starting from a GGA-PBE-relaxed structure, the X-ray powder pattern of Cs6IBr3Cl2 was simulated for Cu Kα.

Structural model:
Cell: 11.584 11.584 10.507 Å, 102.48 102.48 25.89°
Fractional coordinates of all 12 atoms:
Cs1 0.005 0.005 0.268
Cs2 0.327 0.327 0.905
Cs3 0.330 0.330 0.421
Cs4 0.670 0.670 0.579
Cs5 0.673 0.673 0.095
Cs6 0.995 0.995 0.732
I1 0.500 0.500 0.000
Br1 0.164 0.164 0.832
Br2 0.500 0.500 0.500
Br3 0.836 0.836 0.168
Cl1 0.169 0.169 0.338
Cl2 0.831 0.831 0.662

Top 10 peaks for 2θ from 10° to 90°, in order of falling intensity:
| Position (°2θ) | I/Imax |
| --- | --- |
| 24.1 | 1000 |
| 34.6 | 579 |
| 24.3 | 487 |
| 34.3 | 376 |
| 42.7 | 209 |
| 34.1 | 193 |
| 55.9 | 186 |
| 20.9 | 149 |
| 61.9 | 141 |
| 49.4 | 132 |



Starting from a GGA-PBE-relaxed structure, the X-ray powder pattern of Cs2IrBrCl6 was simulated for Cu Kα.

Structural model:
Cell: 7.857 7.857 7.857 Å, 120.50 120.50 89.13°
Fractional coordinates of all 10 atoms:
Cs1 0.250 0.750 0.500
Cs2 0.750 0.250 0.500
Ir1 0.000 0.000 0.000
Br1 0.500 0.500 0.000
Cl1 0.209 0.209 0.000
Cl2 0.213 0.213 0.425
Cl3 0.213 0.787 0.000
Cl4 0.787 0.213 0.000
Cl5 0.787 0.787 0.575
Cl6 0.791 0.791 0.000

Top 10 peaks for 2θ from 10° to 90°, in order of falling intensity:
| Position (°2θ) | I/Imax |
| --- | --- |
| 22.6 | 1000 |
| 22.8 | 488 |
| 32.5 | 461 |
| 40.0 | 407 |
| 13.8 | 353 |
| 46.2 | 300 |
| 52.4 | 255 |
| 32.0 | 237 |
| 39.6 | 202 |
| 46.6 | 149 |



Starting from a GGA-PBE-relaxed structure, the X-ray powder pattern of Cs2IrBr4Cl2 was simulated for Cu Kα.

Structural model:
Cell: 7.724 7.724 7.724 Å, 121.17 121.17 87.99°
Fractional coordinates of all 9 atoms:
Cs1 0.250 0.750 0.500
Cs2 0.750 0.250 0.500
Ir1 0.000 0.000 0.000
Br1 0.233 0.233 0.467
Br2 0.233 0.767 0.000
Br3 0.767 0.233 0.000
Br4 0.767 0.767 0.533
Cl1 0.212 0.212 0.000
Cl2 0.788 0.788 0.000

Top 10 peaks for 2θ from 10° to 90°, in order of falling intensity:
| Position (°2θ) | I/Imax |
| --- | --- |
| 14.1 | 1000 |
| 23.0 | 827 |
| 33.4 | 758 |
| 28.5 | 704 |
| 47.1 | 527 |
| 32.2 | 402 |
| 41.0 | 350 |
| 48.0 | 258 |
| 59.0 | 258 |
| 27.5 | 213 |



Starting from a GGA-PBE-relaxed structure, the X-ray powder pattern of Cs3Mn2Br5Cl2 was simulated for Cu Kα.

Structural model:
Cell: 14.443 14.443 14.443 Å, 158.19 158.19 31.04°
Fractional coordinates of all 12 atoms:
Cs1 0.000 0.000 0.000
Cs2 0.185 0.185 0.000
Cs3 0.815 0.815 0.000
Mn1 0.400 0.400 0.000
Mn2 0.600 0.600 0.000
Br1 0.096 0.596 0.500
Br2 0.404 0.904 0.500
Br3 0.500 0.500 0.000
Br4 0.596 0.096 0.500
Br5 0.904 0.404 0.500
Cl1 0.312 0.312 0.000
Cl2 0.688 0.688 0.000

Top 10 peaks for 2θ from 10° to 90°, in order of falling intensity:
| Position (°2θ) | I/Imax |
| --- | --- |
| 30.1 | 1000 |
| 32.8 | 876 |
| 22.8 | 469 |
| 46.6 | 464 |
| 58.1 | 429 |
| 26.4 | 390 |
| 32.2 | 339 |
| 56.9 | 319 |
| 47.0 | 307 |
| 77.9 | 267 |



Starting from a GGA-PBE-relaxed structure, the X-ray powder pattern of Cs3Mn2Br3Cl4 was simulated for Cu Kα.

Structural model:
Cell: 14.513 14.513 14.513 Å, 159.46 158.36 30.01°
Fractional coordinates of all 12 atoms:
Cs1 0.000 0.000 0.000
Cs2 0.185 0.185 0.000
Cs3 0.815 0.815 0.000
Mn1 0.400 0.400 0.000
Mn2 0.600 0.600 0.000
Br1 0.095 0.595 0.500
Br2 0.500 0.500 0.000
Br3 0.905 0.405 0.500
Cl1 0.312 0.312 0.000
Cl2 0.403 0.903 0.500
Cl3 0.597 0.097 0.500
Cl4 0.688 0.688 0.000

Top 10 peaks for 2θ from 10° to 90°, in order of falling intensity:
| Position (°2θ) | I/Imax |
| --- | --- |
| 30.6 | 1000 |
| 23.7 | 498 |
| 23.4 | 484 |
| 32.9 | 481 |
| 34.7 | 414 |
| 31.9 | 372 |
| 26.9 | 323 |
| 48.5 | 306 |
| 46.5 | 248 |
| 59.3 | 234 |



Starting from a GGA-PBE-relaxed structure, the X-ray powder pattern of Cs2NbBr2Cl4 was simulated for Cu Kα.

Structural model:
Cell: 7.664 7.664 7.664 Å, 119.99 119.99 90.01°
Fractional coordinates of all 9 atoms:
Cs1 0.250 0.750 0.500
Cs2 0.750 0.250 0.500
Nb1 0.000 0.000 0.000
Br1 0.242 0.242 0.000
Br2 0.758 0.758 0.000
Cl1 0.225 0.225 0.449
Cl2 0.225 0.775 0.000
Cl3 0.775 0.225 0.000
Cl4 0.775 0.775 0.551

Top 10 peaks for 2θ from 10° to 90°, in order of falling intensity:
| Position (°2θ) | I/Imax |
| --- | --- |
| 28.5 | 1000 |
| 33.1 | 989 |
| 23.2 | 841 |
| 47.5 | 662 |
| 14.2 | 415 |
| 56.3 | 370 |
| 40.8 | 366 |
| 79.0 | 268 |
| 64.3 | 224 |
| 59.0 | 219 |



Starting from a GGA-PBE-relaxed structure, the X-ray powder pattern of Cs2NiBrCl5 was simulated for Cu Kα.

Structural model:
Cell: 7.383 7.383 7.383 Å, 118.68 118.68 92.30°
Fractional coordinates of all 9 atoms:
Cs1 0.000 0.500 0.500
Cs2 0.500 0.000 0.500
Ni1 0.251 0.251 0.000
Br1 0.015 0.015 0.000
Cl1 0.038 0.038 0.577
Cl2 0.038 0.461 0.000
Cl3 0.461 0.038 0.000
Cl4 0.461 0.461 0.423
Cl5 0.473 0.473 0.000

Top 10 peaks for 2θ from 10° to 90°, in order of falling intensity:
| Position (°2θ) | I/Imax |
| --- | --- |
| 29.5 | 1000 |
| 33.7 | 559 |
| 14.6 | 443 |
| 23.6 | 441 |
| 24.1 | 406 |
| 49.4 | 338 |
| 35.1 | 264 |
| 57.6 | 210 |
| 42.7 | 173 |
| 48.4 | 170 |